# 1
Diffraction record for Na2Cd5Ag5. The powder XRD pattern is simulated, not measured: it uses DFT lattice parameters and positions (PBE) and copper Kα.
Lines closer than 0.1° are merged.

Largest 6 diffraction maxima, sorted by position, 2θ = 15–90°:
2θ (°)	I/Imax	(hkl)
17.8	93	0 0 2
36.1	24	0 0 4
36.4	100	1 2 0
37.4	41	2 0 0
40.9	99	1 2 2
41.8	21	2 0 2

Atomic structure:
```
data_Na2Cd5Ag5
_chemical_formula_sum 'Na2 Cd5 Ag5'
_cell_length_a 4.8039
_cell_length_b 5.7359
_cell_length_c 9.9628
_cell_angle_alpha 90.00
_cell_angle_beta 90.00
_cell_angle_gamma 90.00
_symmetry_space_group_name_H-M 'P m m m'
_symmetry_Int_Tables_number 47
_symmetry_space_group_name_Hall '-P 2 2'
loop_
_atom_site_label
_atom_site_type_symbol
_atom_site_fract_x
_atom_site_fract_y
_atom_site_fract_z
_atom_site_occupancy
Na1 Na 0.0000 0.0000 0.0000 1
Na2 Na 0.0000 0.5000 0.5000 1
Cd1 Cd 0.0000 0.0000 0.3236 1
Cd2 Cd 0.0000 0.5000 0.1672 1
Cd3 Cd 0.5000 0.0000 0.5000 1
Ag1 Ag 0.5000 0.2512 0.2483 1
Ag2 Ag 0.5000 0.5000 0.0000 1
```


# 2
Diffraction record for Na3Cd4Ag2. The powder XRD pattern is simulated, not measured: it uses DFT lattice parameters and positions (PBE) and copper Kα.
Lines closer than 0.1° are merged.

Largest 6 diffraction maxima, sorted by position, 2θ = 15–90°:
2θ (°)	I/Imax	(hkl)
17.1	62	2 0 0
19.5	36	1 1 1
23.7	44	2 2 -1
35.3	63	2 0 2
36.0	100	4 2 -1
37.3	86	2 2 -3

Atomic structure:
```
data_Na3Cd4Ag2
_chemical_formula_sum 'Na12 Cd16 Ag8'
_cell_length_a 11.4570
_cell_length_b 10.2972
_cell_length_c 8.1944
_cell_angle_alpha 90.00
_cell_angle_beta 115.33
_cell_angle_gamma 90.00
_symmetry_space_group_name_H-M 'C 1 2/c 1'
_symmetry_Int_Tables_number 15
_symmetry_space_group_name_Hall '-C 2yc'
loop_
_atom_site_label
_atom_site_type_symbol
_atom_site_fract_x
_atom_site_fract_y
_atom_site_fract_z
_atom_site_occupancy
Na1 Na 0.0000 0.0982 0.2500 1
Na2 Na 0.0948 0.3868 0.1270 1
Cd1 Cd 0.0997 0.1792 0.6731 1
Cd2 Cd 0.2058 0.1028 0.0697 1
Ag1 Ag 0.2166 0.3712 0.5447 1
```


# 3
Diffraction record for NaCd6Ag. The powder XRD pattern is simulated, not measured: it uses DFT lattice parameters and positions (PBE) and copper Kα.
Lines closer than 0.1° are merged.

Largest 6 diffraction maxima, sorted by position, 2θ = 15–90°:
2θ (°)	I/Imax	(hkl)
32.5	25	0 2 2
36.4	24	2 0 0
37.4	100	1 0 4
58.0	18	0 4 0
66.1	17	3 0 4
70.4	19	2 4 0

Atomic structure:
```
data_NaCd6Ag
_chemical_formula_sum 'Na2 Cd12 Ag2'
_cell_length_a 4.9389
_cell_length_b 6.3577
_cell_length_c 11.0157
_cell_angle_alpha 90.00
_cell_angle_beta 90.00
_cell_angle_gamma 90.00
_symmetry_space_group_name_H-M 'A m m 2'
_symmetry_Int_Tables_number 38
_symmetry_space_group_name_Hall 'A 2 -2'
loop_
_atom_site_label
_atom_site_type_symbol
_atom_site_fract_x
_atom_site_fract_y
_atom_site_fract_z
_atom_site_occupancy
Na1 Na 0.0000 0.0000 0.0000 1
Cd1 Cd 0.0000 0.0000 0.4992 1
Cd2 Cd 0.0000 0.2476 0.2511 1
Cd3 Cd 0.5000 0.0000 0.8341 1
Cd4 Cd 0.5000 0.2487 0.0839 1
Ag1 Ag 0.5000 0.0000 0.3347 1
```